1.
For RePtNO, a GGA-PBE-relaxed structure gives the computed PXRD pattern in this record (Cu Kα, 1.54184 Å).

Cell and atoms:
```
8
Lattice="3.386 0.000 0.000 0.000 6.503 0.000 0.000 0.000 5.549" Properties=species:S:1:pos:R:3 pbc="T T T"
Re 0.000 1.181 0.000
Re 0.000 5.323 2.774
Pt 1.693 3.254 2.110
Pt 1.693 3.249 4.884
N 1.693 1.790 0.749
N 1.693 4.713 3.523
O 0.000 0.397 3.863
O 0.000 6.107 1.089
```

Top 10 peaks for 2θ from 10° to 80°, most intense first:
h k l  Position (°2θ)  intensity
1 1 0  29.7  100
0 1 1  21.0  87
1 2 0  38.4  51
1 1 1  33.9  42
0 1 0  13.6  38
1 2 2  51.0  35
0 1 2  35.2  33
1 1 2  44.5  32
0 3 0  41.7  31
0 0 2  32.3  30

2.
For Hf3B2Sb, a GGA-PBE-relaxed structure gives the computed PXRD pattern in this record (Cu Kα, 1.54184 Å).

Cell and atoms:
```
12
Lattice="3.465 0.000 0.000 -1.733 3.001 0.000 0.000 0.000 19.710" Properties=species:S:1:pos:R:3 pbc="T T T"
Hf 0.000 0.000 0.000
Hf 0.000 0.000 9.855
Hf 0.000 2.001 2.647
Hf 0.000 2.001 7.208
Hf 1.733 1.000 12.502
Hf 1.733 1.000 17.063
B 0.000 2.001 11.294
B 0.000 2.001 18.271
B 1.733 1.000 1.439
B 1.733 1.000 8.416
Sb 0.000 0.000 4.927
Sb 0.000 0.000 14.782
```

Top 10 peaks for 2θ from 10° to 80°, most intense first:
h k l  Position (°2θ)  intensity
1 0 4  35.0  100
1 0 1  30.1  33
1 1 0  52.8  31
1 0 5  37.7  29
1 1 8  65.9  26
0 0 8  36.5  24
2 0 4  65.0  17
1 0 9  51.7  14
1 0 12  64.7  14
1 0 3  32.8  14